This entry pairs a crystal structure of Nd5Sb4C with its computed powder diffractogram. Radiation: Cu Ka. Structure: DFT lattice parameters and positions (PBE).
No peak broadening, texture or thermal motion is included.

Principal peaks in the range 2θ from 10° to 90°, by angle:
- 28.14°, d 3.171, I = 56
- 29.02°, d 3.077, I = 100
- 36.17°, d 2.483, I = 20
- 40.86°, d 2.208, I = 78
- 41.51°, d 2.176, I = 29
- 50.90°, d 1.794, I = 30

Unit cell a=7.5758 b=7.5758 c=7.5758 alpha=100.09 beta=100.09 gamma=130.51
Positions (direct):
Nd (0.0000, 0.0000, 0.0000)
Nd (0.2971, 0.6498, 0.8346)
Nd (0.4625, 0.2971, 0.6473)
Nd (0.6498, 0.8153, 0.3527)
Nd (0.8153, 0.4625, 0.1654)
Sb (0.1444, 0.3684, 0.3943)
Sb (0.3684, 0.9741, 0.2241)
Sb (0.7500, 0.1444, 0.7759)
Sb (0.9741, 0.7500, 0.6057)
C (0.6096, 0.6096, 0.0000)